# 1
Diffraction record for Ti4InTc. The X-ray diffraction stick pattern is calculated, not measured: it uses a cell relaxed with GGA-PBE and λ = 1.5418 Å (Cu Kα).

Structural model:
abc: 7.767 4.450 7.519
angles: 90.00 109.96 90.00
Space group C2/m (No. 12)
Inequivalent atoms, fractional coordinates:
Ti (0.114, 0.000, 0.336) [4 per cell]
Ti (0.135, 0.500, 0.905) [4 per cell]
In (0.000, 0.500, 0.500) [2 per cell]
Tc (0.000, 0.000, 0.000) [2 per cell]

The 10 most intense peaks (2θ from 5° to 70°), in order of rising 2θ:
24.4°, intensity 50; 24.6°, intensity 100; 25.2°, intensity 41; 40.3°, intensity 88; 40.5°, intensity 43; 41.2°, intensity 36; 41.4°, intensity 69; 47.9°, intensity 16; 49.0°, intensity 24; 59.1°, intensity 34

---

# 2
Diffraction record for SrCeMg17. The X-ray diffraction stick pattern is calculated, not measured: it uses a cell relaxed with GGA-PBE and λ = 1.5418 Å (Cu Kα).

Structural model:
abc: 10.3864 10.3864 15.3140
angles: 90.00 90.00 120.00
Space group R3m (No. 160, hexagonal axes)
Inequivalent atoms, fractional coordinates:
Sr (0.0000, 0.0000, 0.0000) [3 per cell]
Ce (0.0000, 0.0000, 0.6695) [3 per cell]
Mg (0.0000, 0.0000, 0.2395) [3 per cell]
Mg (0.0000, 0.0000, 0.4379) [3 per cell]
Mg (0.0022, 0.3001, 0.3372) [18 per cell]
Mg (0.0088, 0.5044, 0.4890) [9 per cell]
Mg (0.1675, 0.3350, 0.5181) [9 per cell]
Mg (0.1676, 0.3352, 0.1713) [9 per cell]

The 10 most intense peaks (2θ from 5° to 70°), in order of rising 2θ:
11.4°, intensity 22; 17.1°, intensity 25; 24.5°, intensity 64; 29.8°, intensity 48; 30.7°, intensity 23; 34.5°, intensity 56; 34.7°, intensity 100; 35.2°, intensity 27; 49.8°, intensity 23; 61.9°, intensity 23

---

# 3
Diffraction record for Ti2PtO6. The X-ray diffraction stick pattern is calculated, not measured: it uses a cell relaxed with GGA-PBE and λ = 1.5418 Å (Cu Kα).

Structural model:
abc: 10.303 3.084 8.573
angles: 90.00 116.16 90.00
Space group C2 (No. 5)
Inequivalent atoms, fractional coordinates:
Ti (0.158, 0.000, 0.340) [4 per cell]
Pt (0.000, 0.452, 0.000) [2 per cell]
O (0.023, 0.467, 0.251) [4 per cell]
O (0.144, 0.949, 0.097) [4 per cell]
O (0.196, 0.955, 0.578) [4 per cell]

The 10 most intense peaks (2θ from 5° to 70°), in order of rising 2θ:
11.5°, intensity 40; 17.5°, intensity 100; 19.2°, intensity 16; 34.3°, intensity 26; 35.0°, intensity 13; 35.9°, intensity 11; 41.4°, intensity 28; 42.2°, intensity 13; 54.5°, intensity 13; 60.0°, intensity 15